This entry pairs a crystal structure of AcErNi with its calculated powder X-ray diffraction pattern. Radiation: Cu Kα X-rays. Structure: a DFT-relaxed cell (PBE, Alexandria).
Lines closer than 0.1° are merged.

Main lines, in order of rising 2θ (10° ≤ 2θ ≤ 90°):
- 2θ 26.03, intensity 33.7
- 2θ 27.34, intensity 44.5
- 2θ 28.56, intensity 100.0
- 2θ 31.46, intensity 75.7
- 2θ 32.57, intensity 59.4
- 2θ 33.90, intensity 23.7
- 2θ 37.14, intensity 28.3
- 2θ 37.39, intensity 32.0
- 2θ 40.85, intensity 26.0
- 2θ 49.08, intensity 20.6

Structural model:
```
AcErNi
1.0
0.0000 6.5251 4.5166
5.7849 0.0000 4.5166
5.7849 6.5251 0.0000
Ac Er Ni
4 4 4
Cartesian
7.1388 4.5698 4.5166
7.3233 7.8323 6.7749
4.4309 8.4803 4.5166
4.2464 5.2178 6.7749
8.2358 8.1307 3.1196
11.1282 8.1819 5.3779
3.3340 4.9194 3.1196
6.2264 11.3933 5.3779
5.0374 2.8941 2.8622
9.4247 6.1567 5.1205
0.7475 3.6309 2.8622
2.1450 6.8935 5.1205
```



This entry pairs a crystal structure of Ag2RuPbCl8 with its calculated powder X-ray diffraction pattern. Radiation: Cu Kα X-rays. Structure: a DFT-relaxed cell (PBE, Alexandria).
Lines closer than 0.1° are merged.

Main lines, in order of rising 2θ (10° ≤ 2θ ≤ 90°):
- 2θ 13.86, intensity 75.9
- 2θ 17.78, intensity 100.0
- 2θ 18.89, intensity 44.0
- 2θ 21.40, intensity 76.4
- 2θ 26.47, intensity 49.9
- 2θ 27.99, intensity 58.9
- 2θ 28.90, intensity 36.3
- 2θ 30.26, intensity 72.6
- 2θ 33.60, intensity 38.9
- 2θ 46.84, intensity 52.5

Structural model:
```
Ag2RuPbCl8
1.0
6.4866 0.0000 0.0000
1.2485 6.7113 0.0000
0.2688 2.5106 7.8080
Ag Ru Pb Cl
2 1 1 8
Cartesian
0.4797 1.8927 2.2372
7.5242 7.3292 5.5708
3.8675 3.3556 0.0000
4.0019 4.6109 3.9040
1.6941 6.2028 3.3473
2.2465 7.2314 7.7599
2.9903 4.1906 6.6137
3.1068 2.4259 2.0632
4.8970 6.7960 5.7448
5.0135 5.0313 1.1943
5.7573 1.9905 0.0482
6.3097 3.0191 4.4607
```



This entry pairs a crystal structure of NaSb3O8 with its calculated powder X-ray diffraction pattern. Radiation: Cu Kα X-rays. Structure: a DFT-relaxed cell (PBE, Alexandria).
Lines closer than 0.1° are merged.

Main lines, in order of rising 2θ (10° ≤ 2θ ≤ 90°):
- 2θ 15.00, intensity 47.8
- 2θ 28.18, intensity 16.4
- 2θ 29.37, intensity 100.0
- 2θ 30.27, intensity 94.4
- 2θ 34.58, intensity 60.7
- 2θ 48.53, intensity 19.2
- 2θ 49.70, intensity 63.0
- 2θ 58.28, intensity 28.0
- 2θ 59.84, intensity 29.3
- 2θ 83.27, intensity 19.4

Structural model:
```
NaSb3O8
1.0
-3.5895 5.1910 3.7515
3.5895 -5.1910 3.7515
3.5895 5.1910 -3.7515
Na Sb O
2 6 16
Cartesian
0.0000 0.0000 1.8758
0.0000 0.0000 5.6273
5.3045 2.5727 0.0000
3.5895 0.0000 1.8758
1.7150 2.6183 0.0000
1.8745 2.5727 3.7515
0.0000 5.1910 1.8758
-1.7150 2.6183 3.7515
5.0474 -1.4145 1.5354
4.4090 0.8101 0.0000
2.1316 -1.4145 2.2161
3.5005 -3.4952 3.7515
3.5005 3.4952 0.0000
2.1316 1.4145 1.5354
0.8195 4.3810 0.0000
5.0474 1.4145 2.2161
-1.4579 3.7765 1.5354
2.7701 0.8101 3.7515
1.4579 3.7765 2.2161
0.0890 1.6959 3.7515
0.0890 8.6862 0.0000
1.4579 6.6056 1.5354
-0.8195 4.3810 3.7515
-1.4579 6.6056 2.2161
```



This entry pairs a crystal structure of SrAl3P2H7O14 with its calculated powder X-ray diffraction pattern. Radiation: Cu Kα X-rays. Structure: a DFT-relaxed cell (PBE, Alexandria).
Lines closer than 0.1° are merged.

Main lines, in order of rising 2θ (10° ≤ 2θ ≤ 90°):
- 2θ 15.26, intensity 51.2
- 2θ 24.79, intensity 45.2
- 2θ 29.87, intensity 100.0
- 2θ 39.92, intensity 22.0
- 2θ 41.62, intensity 38.7
- 2θ 46.93, intensity 37.6
- 2θ 50.84, intensity 29.1
- 2θ 64.87, intensity 17.4
- 2θ 71.68, intensity 14.0
- 2θ 78.77, intensity 11.9

Structural model:
```
SrAl3P2H7O14
1.0
3.5917 2.0737 5.4030
-3.5917 2.0737 5.4030
0.0000 -4.1474 5.4030
Sr Al P H O
1 3 2 7 14
Cartesian
0.0000 0.0000 0.0000
0.0000 -2.0492 2.7048
-1.7746 1.0246 2.7048
1.7746 1.0246 2.7047
0.0000 0.0000 5.0403
0.0000 0.0000 11.2413
-1.5764 -0.9101 9.1295
0.0000 -1.6963 7.1554
-1.4691 0.8482 7.1554
0.0000 0.0000 8.6698
1.5764 -0.9101 9.1295
0.0000 1.8202 9.1295
1.4691 0.8482 7.1554
-2.2786 -1.3155 8.5885
0.0000 -1.4653 4.5033
-1.2690 0.7327 4.5033
0.0000 -2.5957 7.5830
-2.2480 1.2979 7.5830
0.0000 0.0000 6.5865
-1.2718 -0.7343 11.6761
1.2690 0.7327 4.5033
0.0000 0.0000 9.6503
2.2786 -1.3155 8.5885
0.0000 2.6311 8.5885
1.2718 -0.7343 11.6761
0.0000 1.4685 11.6761
2.2480 1.2979 7.5830
```



This entry pairs a crystal structure of K2Rb6Pd with its calculated powder X-ray diffraction pattern. Radiation: Cu Kα X-rays. Structure: a DFT-relaxed cell (PBE, Alexandria).
Lines closer than 0.1° are merged.

Main lines, in order of rising 2θ (10° ≤ 2θ ≤ 90°):
- 2θ 11.04, intensity 39.4
- 2θ 12.68, intensity 28.9
- 2θ 12.91, intensity 13.8
- 2θ 22.19, intensity 100.0
- 2θ 25.51, intensity 72.9
- 2θ 25.99, intensity 35.2
- 2θ 36.39, intensity 27.5
- 2θ 36.74, intensity 54.2
- 2θ 43.03, intensity 31.4
- 2θ 45.23, intensity 21.6

Structural model:
```
K2Rb6Pd
1.0
9.8689 0.0000 0.0000
0.0000 9.8813 0.0000
-9.8239 0.0000 13.7140
K Rb Pd
4 12 2
Cartesian
-0.0253 0.0018 3.4311
-4.9372 4.9389 10.2881
0.0703 9.8796 10.2830
4.9823 4.9424 3.4260
-4.8767 0.0008 10.3807
0.0352 4.9399 3.5237
2.5677 2.3563 0.0084
-2.3442 2.5844 6.8654
-2.3335 7.3078 6.8630
2.5785 7.5142 0.0060
-2.5335 2.3671 13.7080
2.3785 2.5736 6.8510
2.3893 7.2969 6.8486
-2.5227 7.5251 13.7056
4.9218 9.8806 3.3334
0.0098 4.9414 10.1904
4.9345 0.0000 0.0000
0.0225 4.9407 6.8570
```



This entry pairs a crystal structure of AgF3 with its calculated powder X-ray diffraction pattern. Radiation: Cu Kα X-rays. Structure: a DFT-relaxed cell (PBE, Alexandria).
Lines closer than 0.1° are merged.

Main lines, in order of rising 2θ (10° ≤ 2θ ≤ 90°):
- 2θ 19.76, intensity 36.0
- 2θ 22.92, intensity 9.4
- 2θ 26.36, intensity 100.0
- 2θ 34.58, intensity 16.1
- 2θ 40.46, intensity 8.9
- 2θ 41.90, intensity 8.8
- 2θ 44.00, intensity 13.7
- 2θ 45.72, intensity 12.0
- 2θ 49.98, intensity 21.1
- 2θ 57.62, intensity 10.0

Structural model:
```
AgF3
1.0
5.1871 0.0000 0.0000
-2.5936 4.4922 0.0000
0.0000 0.0000 15.4081
Ag F
6 18
Cartesian
0.0000 2.6142 3.8520
-0.3296 3.1851 14.1241
0.3296 3.1851 8.9881
2.2640 1.3071 1.2840
2.9232 1.3071 6.4201
2.5936 1.8780 11.5561
-0.6660 1.1535 5.1360
-1.9276 3.3387 12.8401
-0.5968 1.9947 10.2379
-1.1644 2.9780 7.7382
1.3319 0.0000 0.0000
0.6660 1.1535 2.5680
0.5968 1.9947 12.8743
-0.5677 4.0116 5.1019
2.0259 0.4806 10.3063
1.4291 1.5142 7.6699
1.1644 2.9780 15.3740
0.5677 4.0116 2.6022
3.1613 0.4806 12.8059
1.9968 2.4975 5.1702
3.8552 0.0000 7.7041
1.9276 3.3387 10.2721
3.7580 1.5142 0.0342
3.1903 2.4975 2.5339
```



This entry pairs a crystal structure of BiTeMo with its calculated powder X-ray diffraction pattern. Radiation: Cu Kα X-rays. Structure: a DFT-relaxed cell (PBE, Alexandria).
Lines closer than 0.1° are merged.

Main lines, in order of rising 2θ (10° ≤ 2θ ≤ 90°):
- 2θ 26.98, intensity 15.6
- 2θ 29.90, intensity 28.9
- 2θ 30.62, intensity 35.5
- 2θ 31.10, intensity 16.5
- 2θ 31.67, intensity 100.0
- 2θ 34.37, intensity 16.4
- 2θ 37.86, intensity 15.8
- 2θ 41.46, intensity 16.8
- 2θ 43.12, intensity 34.4
- 2θ 53.26, intensity 14.5

Structural model:
```
BiTeMo
1.0
3.4401 0.0000 0.0000
-0.0110 5.8764 0.0000
-1.7139 -0.8268 7.4296
Bi Te Mo
2 2 2
Cartesian
0.0000 0.0000 0.0000
0.0093 2.0543 5.6102
-0.0081 4.8526 4.1899
1.7257 1.8856 2.3201
0.0059 3.0536 0.5887
1.7078 4.7478 2.0453
```



This entry pairs a crystal structure of KHg3F7 with its calculated powder X-ray diffraction pattern. Radiation: Cu Kα X-rays. Structure: a DFT-relaxed cell (PBE, Alexandria).
Lines closer than 0.1° are merged.

Main lines, in order of rising 2θ (10° ≤ 2θ ≤ 90°):
- 2θ 16.43, intensity 39.2
- 2θ 25.44, intensity 59.3
- 2θ 26.28, intensity 100.0
- 2θ 30.27, intensity 46.0
- 2θ 31.36, intensity 43.1
- 2θ 31.57, intensity 25.0
- 2θ 41.81, intensity 41.3
- 2θ 42.74, intensity 18.9
- 2θ 48.19, intensity 27.9
- 2θ 51.88, intensity 18.5

Structural model:
```
KHg3F7
1.0
3.9279 -4.2312 0.0000
3.9279 4.2312 0.0000
-2.8828 0.0000 5.6687
K Hg F
1 3 7
Cartesian
0.0000 0.0000 0.0000
2.4865 1.9537 2.8344
3.9279 0.0000 0.0000
2.4865 -1.9537 2.8344
-1.4414 0.0000 2.8344
0.5977 1.8619 4.2622
2.1505 0.0000 1.4526
4.3753 1.8619 1.4065
0.5977 -1.8619 4.2622
2.8225 0.0000 4.2161
4.3753 -1.8619 1.4065
```



This entry pairs a crystal structure of Dy3Mg2Al with its calculated powder X-ray diffraction pattern. Radiation: Cu Kα X-rays. Structure: a DFT-relaxed cell (PBE, Alexandria).
Lines closer than 0.1° are merged.

Main lines, in order of rising 2θ (10° ≤ 2θ ≤ 90°):
- 2θ 23.96, intensity 63.2
- 2θ 34.13, intensity 100.0
- 2θ 42.16, intensity 14.5
- 2θ 49.05, intensity 17.9
- 2θ 55.30, intensity 26.1
- 2θ 61.00, intensity 9.0
- 2θ 61.14, intensity 27.8
- 2θ 77.05, intensity 10.0
- 2θ 81.98, intensity 7.8
- 2θ 82.09, intensity 8.0

Structural model:
```
Dy3Mg2Al
1.0
5.2486 0.0000 0.0000
-2.6243 4.5454 0.0000
0.0000 0.0000 12.8924
Dy Mg Al
6 4 2
Cartesian
0.0000 0.0000 3.1555
0.0000 0.0000 9.7369
0.0000 3.0303 5.2870
0.0000 3.0303 11.8095
2.6243 1.5151 1.0829
2.6243 1.5151 7.6054
0.0000 0.0000 0.0000
0.0000 0.0000 6.4462
0.0000 3.0303 8.5451
2.6243 1.5151 4.3473
0.0000 3.0303 2.0950
2.6243 1.5151 10.7974
```



This entry pairs a crystal structure of Na4Al3Ge3BH4O12 with its calculated powder X-ray diffraction pattern. Radiation: Cu Kα X-rays. Structure: a DFT-relaxed cell (PBE, Alexandria).
Lines closer than 0.1° are merged.

Main lines, in order of rising 2θ (10° ≤ 2θ ≤ 90°):
- 2θ 13.73, intensity 100.0
- 2θ 21.79, intensity 44.2
- 2θ 23.90, intensity 98.1
- 2θ 31.00, intensity 34.2
- 2θ 34.05, intensity 55.0
- 2θ 36.87, intensity 30.3
- 2θ 42.03, intensity 18.2
- 2θ 57.13, intensity 28.1
- 2θ 59.05, intensity 17.9
- 2θ 68.20, intensity 17.0

Structural model:
```
Na4Al3Ge3BH4O12
1.0
9.1211 0.0000 0.0000
0.0000 9.1211 0.0000
0.0000 0.0000 9.1211
Na Al Ge B H O
8 6 6 2 8 24
Cartesian
1.5621 1.5621 1.5621
1.5621 7.5590 7.5590
2.9984 2.9984 6.1227
2.9984 6.1227 2.9984
6.1227 2.9984 2.9984
6.1227 6.1227 6.1227
7.5590 1.5621 7.5590
7.5590 7.5590 1.5621
0.0000 2.2803 4.5606
0.0000 6.8408 4.5606
2.2803 4.5606 0.0000
4.5606 0.0000 2.2803
4.5606 0.0000 6.8408
6.8408 4.5606 0.0000
0.0000 4.5606 2.2803
0.0000 4.5606 6.8408
2.2803 0.0000 4.5606
4.5606 2.2803 0.0000
4.5606 6.8408 0.0000
6.8408 0.0000 4.5606
0.0000 0.0000 0.0000
4.5606 4.5606 4.5606
0.7100 0.7100 8.4111
0.7100 8.4111 0.7100
3.8505 3.8505 3.8505
3.8505 5.2706 5.2706
5.2706 3.8505 5.2706
5.2706 5.2706 3.8505
8.4111 0.7100 0.7100
8.4111 8.4111 8.4111
0.6839 3.2566 5.8673
0.6839 5.8645 3.2538
1.3068 1.3040 3.8767
1.3040 3.8767 1.3068
1.3040 5.2444 7.8143
1.3068 7.8171 5.2444
3.2538 0.6839 5.8645
3.2566 3.2538 8.4372
3.2566 5.8673 0.6839
3.2538 8.4372 3.2566
3.8767 1.3068 1.3040
3.8767 7.8143 7.8171
5.2444 1.3068 7.8171
5.2444 7.8143 1.3040
5.8673 0.6839 3.2566
5.8645 3.2538 0.6839
5.8645 5.8673 8.4372
5.8673 8.4372 5.8645
7.8143 1.3040 5.2444
7.8171 3.8767 7.8143
7.8171 5.2444 1.3068
7.8143 7.8171 3.8767
8.4372 3.2566 3.2538
8.4372 5.8645 5.8673
```



This entry pairs a crystal structure of NdBi2Pd6 with its calculated powder X-ray diffraction pattern. Radiation: Cu Kα X-rays. Structure: a DFT-relaxed cell (PBE, Alexandria).
Lines closer than 0.1° are merged.

Main lines, in order of rising 2θ (10° ≤ 2θ ≤ 90°):
- 2θ 18.17, intensity 58.2
- 2θ 21.83, intensity 66.0
- 2θ 34.05, intensity 40.4
- 2θ 36.52, intensity 34.3
- 2θ 36.82, intensity 44.1
- 2θ 38.86, intensity 83.3
- 2θ 40.26, intensity 100.0
- 2θ 41.09, intensity 58.7
- 2θ 44.50, intensity 37.8
- 2θ 62.96, intensity 34.1

Structural model:
```
NdBi2Pd6
1.0
5.6377 0.0000 0.0000
-2.8188 4.8824 0.0000
0.0000 0.0000 7.3803
Nd Bi Pd
1 2 6
Cartesian
0.0000 0.0000 0.0000
0.0000 3.2549 3.6901
2.8188 1.6275 3.6901
-1.4094 2.4412 1.3578
-1.4094 2.4412 6.0225
2.8188 0.0000 1.3578
2.8188 0.0000 6.0225
1.4094 2.4412 1.3578
1.4094 2.4412 6.0225
```